1.
Theoretical X-ray diffraction stick pattern
Compound: Li2SiP
Radiation: Cu Kα (weighted mean of Kα1 and Kα2)
Structure: a cell relaxed with GGA-PBE
Neutral-atom scattering factors, no anomalous dispersion.

Peak list (9 most intense, 5° ≤ 2θ ≤ 70°, by angle)
| Position (°2θ) | I_rel |
| --- | --- |
| 26.27 | 91.2 |
| 40.79 | 100.0 |
| 41.29 | 23.7 |
| 44.82 | 18.8 |
| 48.73 | 29.1 |
| 56.20 | 18.0 |
| 62.57 | 6.5 |
| 65.74 | 11.3 |
| 68.36 | 20.9 |

Crystal structure
Cell: 4.8309 4.8309 4.8309 Å, 134.49 134.49 66.32°
Positions (direct):
Li 0.0000 0.0000 0.0000
Li 0.7500 0.2500 0.5000
Si 0.5000 0.5000 0.0000
P 0.2500 0.7500 0.5000



2.
Theoretical X-ray diffraction stick pattern
Compound: AgH4NCl3
Radiation: Cu Kα (weighted mean of Kα1 and Kα2)
Structure: a cell relaxed with GGA-PBE
Neutral-atom scattering factors, no anomalous dispersion.

Peak list (10 most intense, 5° ≤ 2θ ≤ 70°, by angle)
| Position (°2θ) | I_rel |
| --- | --- |
| 12.75 | 100.0 |
| 18.04 | 54.3 |
| 19.81 | 52.5 |
| 24.06 | 83.4 |
| 29.54 | 23.9 |
| 30.91 | 21.7 |
| 32.00 | 27.6 |
| 36.55 | 36.3 |
| 38.95 | 20.1 |
| 43.27 | 23.7 |

Crystal structure
Cell: 4.4899 6.9464 9.8478 Å, 90.42 92.85 92.21°
Positions (direct):
Ag 0.0000 0.0000 0.0000
Ag 0.0122 0.0010 0.5023
H 0.0350 0.3902 0.7102
H 0.1844 0.5487 0.8320
H 0.2924 0.5580 0.6692
H 0.3889 0.3721 0.7732
H 0.6338 0.5874 0.2492
H 0.8211 0.3793 0.2519
H 0.9521 0.5743 0.1667
H 0.9638 0.5775 0.3383
N 0.2251 0.4675 0.7465
N 0.8405 0.5285 0.2517
Cl 0.0373 0.9485 0.7519
Cl 0.2807 0.7146 0.0347
Cl 0.3181 0.7263 0.4738
Cl 0.7002 0.2731 0.9638
Cl 0.7085 0.2729 0.5331
Cl 0.9655 0.0549 0.2505



3.
Theoretical X-ray diffraction stick pattern
Compound: Dy8BTe4S3
Radiation: Cu Kα (weighted mean of Kα1 and Kα2)
Structure: a cell relaxed with GGA-PBE
Neutral-atom scattering factors, no anomalous dispersion.

Peak list (10 most intense, 5° ≤ 2θ ≤ 70°, by angle)
| Position (°2θ) | I_rel |
| --- | --- |
| 25.80 | 12.7 |
| 26.83 | 17.6 |
| 30.67 | 100.0 |
| 33.27 | 24.9 |
| 38.47 | 11.0 |
| 42.98 | 28.0 |
| 44.84 | 37.5 |
| 55.30 | 17.7 |
| 60.52 | 16.8 |
| 63.24 | 10.4 |

Crystal structure
Cell: 8.4310 8.4310 8.4310 Å, 57.31 57.31 57.31°
Positions (direct):
Dy 0.2353 0.2353 0.2353
Dy 0.2548 0.7236 0.7236
Dy 0.2764 0.2764 0.7452
Dy 0.2764 0.7452 0.2764
Dy 0.7236 0.2548 0.7236
Dy 0.7236 0.7236 0.2548
Dy 0.7452 0.2764 0.2764
Dy 0.7647 0.7647 0.7647
B 0.5000 0.5000 0.5000
Te 0.0000 0.0000 0.0000
Te 0.0000 0.5000 0.5000
Te 0.5000 0.0000 0.5000
Te 0.5000 0.5000 0.0000
S 0.0000 0.0000 0.5000
S 0.0000 0.5000 0.0000
S 0.5000 0.0000 0.0000